(1)
Diffraction record for Be2MoPb2O6. The PXRD pattern is theoretical, not measured: it uses a cell relaxed with PBE+U and Cu Kα (weighted mean of Kα1 and Kα2).
Peak positions follow from Bragg's law for the DFT cell and can differ from measured ones.

Main lines, by angle (2θ = 10–90°):
23.02 deg, d = 3.863 Å, I 100, hkl 0 1 1; 30.27 deg, d = 2.952 Å, I 54, hkl 1 0 2; 35.14 deg, d = 2.554 Å, I 32, hkl 1 1 0; 42.43 deg, d = 2.131 Å, I 25, hkl 2 0 1; 47.05 deg, d = 1.932 Å, I 14, hkl 0 2 2; 49.64 deg, d = 1.837 Å, I 25, hkl 2 -1 3; 50.45 deg, d = 1.809 Å, I 14, hkl 0 1 4; 56.23 deg, d = 1.636 Å, I 20, hkl 3 -2 1; 60.05 deg, d = 1.541 Å, I 15, hkl 3 -1 2; 63.01 deg, d = 1.475 Å, I 15, hkl 3 0 0

Atomic structure:
```
data_Be2MoPb2O6
_chemical_formula_sum 'Be2 Mo1 Pb2 O6'
_symmetry_space_group_name_H-M 'P -3'
_symmetry_Int_Tables_number 147
_symmetry_space_group_name_Hall '-P 3'
_cell_length_a 5.1081
_cell_length_b 5.1081
_cell_length_c 7.9281
_cell_angle_alpha 90.00
_cell_angle_beta 90.00
_cell_angle_gamma 120.00
loop_
_atom_site_label
_atom_site_type_symbol
_atom_site_fract_x
_atom_site_fract_y
_atom_site_fract_z
_atom_site_occupancy
Be1 Be 0.3333 0.6667 0.3541 1
Mo1 Mo 0.0000 0.0000 0.5000 1
Pb1 Pb 0.3333 0.6667 0.8064 1
O1 O 0.0481 0.6997 0.3439 1
```

(2)
Diffraction record for SrBeMo2O8. The PXRD pattern is theoretical, not measured: it uses a cell relaxed with PBE+U and Cu Kα (weighted mean of Kα1 and Kα2).
Peak positions follow from Bragg's law for the DFT cell and can differ from measured ones.

Main lines, by angle (2θ = 10–90°):
14.28 deg, d = 6.203 Å, I 43, hkl 0 0 3; 20.73 deg, d = 4.284 Å, I 78, hkl 1 0 1; 22.34 deg, d = 3.979 Å, I 34, hkl 0 1 2; 27.90 deg, d = 3.198 Å, I 78, hkl 1 0 4; 31.48 deg, d = 2.842 Å, I 88, hkl 0 1 5; 35.31 deg, d = 2.542 Å, I 100, hkl 1 1 0; 48.02 deg, d = 1.895 Å, I 41, hkl 2 0 5; 53.46 deg, d = 1.714 Å, I 34, hkl 1 0 10; 60.99 deg, d = 1.519 Å, I 32, hkl 3 -2 5; 63.38 deg, d = 1.467 Å, I 32, hkl 3 0 0

Atomic structure:
```
data_SrBeMo2O8
_chemical_formula_sum 'Sr3 Be3 Mo6 O24'
_symmetry_space_group_name_H-M 'R -3'
_symmetry_Int_Tables_number 148
_symmetry_space_group_name_Hall '-R 3'
_cell_length_a 5.0835
_cell_length_b 5.0835
_cell_length_c 18.6095
_cell_angle_alpha 90.00
_cell_angle_beta 90.00
_cell_angle_gamma 120.00
loop_
_atom_site_label
_atom_site_type_symbol
_atom_site_fract_x
_atom_site_fract_y
_atom_site_fract_z
_atom_site_occupancy
Sr1 Sr 0.0000 0.0000 0.0000 1
Be1 Be 0.0000 0.0000 0.5000 1
Mo1 Mo 0.0000 0.0000 0.2066 1
O1 O 0.0000 0.0000 0.3023 1
O2 O 0.0150 0.3882 0.7859 1
```